[1]
For Li24Au5, DFT lattice parameters and positions (PBE) gives the computed powder diffraction line list in this record (a wavelength of 1.5418 Å).
Peak positions follow from Bragg's law for the DFT cell and can differ from measured ones.

Principal peaks in the range 2θ from 15° to 90°, by angle:
d 4.888, intensity 22; d 3.991, intensity 94; d 3.456, intensity 51; d 2.613, intensity 55; d 2.304, intensity 100; d 1.995, intensity 14; d 1.917, intensity 24; d 1.629, intensity 17; d 1.586, intensity 40; d 1.330, intensity 23

Cell and atoms:
```
Li24Au5
1.0
-4.8878 4.8878 4.8878
4.8878 -4.8878 4.8878
4.8878 4.8878 -4.8878
Li Au
24 5
Cartesian
2.6576 0.8517 -0.8517
2.6576 -0.8517 0.8517
5.3485 1.4155 -1.4155
5.3485 -1.4155 1.4155
7.1180 0.8517 0.8517
0.8517 2.6576 -0.8517
0.8517 -0.8517 2.6576
4.4271 1.4155 1.4155
3.4723 3.4723 -0.4607
3.4723 -0.4607 3.4723
-0.8517 2.6576 0.8517
-0.8517 0.8517 2.6576
1.4155 5.3485 -1.4155
1.4155 -1.4155 5.3485
1.4155 4.4271 1.4155
1.4155 1.4155 4.4271
4.0361 4.0361 2.2302
4.0361 2.2302 4.0361
-1.4155 5.3485 1.4155
-1.4155 1.4155 5.3485
-0.4607 3.4723 3.4723
0.8517 7.1180 0.8517
0.8517 0.8517 7.1180
2.2302 4.0361 4.0361
0.0000 0.0000 0.0000
3.0454 3.0454 -3.0454
3.0454 -3.0454 3.0454
1.8424 1.8424 1.8424
-3.0454 3.0454 3.0454
```

---

[2]
For LiAu2, DFT lattice parameters and positions (PBE) gives the computed powder diffraction line list in this record (a wavelength of 1.5418 Å).
Peak positions follow from Bragg's law for the DFT cell and can differ from measured ones.

Principal peaks in the range 2θ from 15° to 90°, by angle:
d 3.102, intensity 29; d 2.751, intensity 49; d 2.331, intensity 100; d 2.068, intensity 15; d 1.995, intensity 33; d 1.678, intensity 20; d 1.501, intensity 19; d 1.436, intensity 19; d 1.411, intensity 11; d 1.207, intensity 26

Cell and atoms:
```
LiAu2
1.0
-1.4108 1.4108 6.2042
1.4108 -1.4108 6.2042
1.4108 1.4108 -6.2042
Li Au
1 2
Cartesian
0.0000 0.0000 0.0000
0.0000 0.0000 4.2864
0.0000 0.0000 8.1220
```

---

[3]
For LiAu3, DFT lattice parameters and positions (PBE) gives the computed powder diffraction line list in this record (a wavelength of 1.5418 Å).
Peak positions follow from Bragg's law for the DFT cell and can differ from measured ones.

Principal peaks in the range 2θ from 15° to 90°, by angle:
d 3.468, intensity 37; d 2.822, intensity 14; d 2.460, intensity 31; d 2.444, intensity 23; d 2.189, intensity 100; d 1.734, intensity 16; d 1.411, intensity 17; d 1.362, intensity 22; d 1.224, intensity 21; d 1.186, intensity 15

Cell and atoms:
```
LiAu3
1.0
5.6449 0.0000 0.0000
-2.8224 4.8886 0.0000
0.0000 0.0000 4.9196
Li Au
2 6
Cartesian
0.0000 3.2591 1.2299
2.8224 1.6295 3.6897
0.0000 1.6444 3.6897
-1.3984 4.0664 3.6897
1.4241 0.8222 1.2299
1.3984 4.0664 3.6897
4.2208 0.8222 1.2299
2.8224 3.2442 1.2299
```

---

[4]
For Li6Au, DFT lattice parameters and positions (PBE) gives the computed powder diffraction line list in this record (a wavelength of 1.5418 Å).
Peak positions follow from Bragg's law for the DFT cell and can differ from measured ones.

Principal peaks in the range 2θ from 15° to 90°, by angle:
d 5.259, intensity 100; d 4.624, intensity 37; d 4.048, intensity 28; d 3.473, intensity 75; d 3.458, intensity 18; d 3.046, intensity 27; d 2.769, intensity 17; d 2.286, intensity 28; d 2.209, intensity 27; d 2.117, intensity 22

Cell and atoms:
```
Li6Au
1.0
4.0475 -3.4583 0.0000
4.0475 3.4583 0.0000
0.0000 0.0000 9.2487
Li Au
12 2
Cartesian
2.5578 2.0941 2.3122
4.0475 2.3265 5.4762
4.0475 2.3265 8.3969
2.6261 0.0000 0.0000
2.6261 0.0000 4.6244
5.5372 2.0941 2.3122
2.5578 -2.0941 6.9366
5.4689 0.0000 0.0000
5.4689 0.0000 4.6244
4.0475 -2.3265 0.8519
4.0475 -2.3265 3.7725
5.5372 -2.0941 6.9366
4.0475 0.1342 6.9366
4.0475 -0.1342 2.3122
```